Diffraction record for Nd3TlTe6. The powder X-ray diffraction pattern is simulated, not measured: it uses a cell relaxed with PBE and λ = 1.5418 Å (Cu Kα).
Neutral-atom scattering factors, no anomalous dispersion.

Most intense lines, 2θ from 5° to 70°, in order of falling intensity:
index, 2theta, I_rel
3 3 1, 30.17, 1000
3 5 0, 36.36, 822
3 1 2, 32.62, 716
2 2 1, 21.84, 636
1 3 1, 22.13, 434
3 1 1, 25.25, 411
6 0 0, 43.78, 375
0 4 2, 33.22, 369
2 2 2, 30.02, 360
0 4 3, 42.90, 311

Cell and atoms:
Lattice parameters (Å, degrees): 12.406 15.400 7.559 90.00 90.00 90.00
Space group Cmc2_1 (No. 36)
One atom of each set of equivalent atoms:
Nd1 0.000 0.090 0.000 [4 per cell]
Nd2 0.183 0.405 0.887 [8 per cell]
Tl1 0.000 0.295 0.367 [4 per cell]
Te1 0.000 0.274 0.746 [4 per cell]
Te2 0.000 0.469 0.191 [4 per cell]
Te3 0.164 0.040 0.697 [8 per cell]
Te4 0.177 0.228 0.149 [8 per cell]